Structure and computed powder diffraction line list of Tb3Ga8Ir3 (a DFT-relaxed cell (PBE, OQMD); CuKα).
Kinematic intensities with the Lorentz-polarization factor, no thermal factor.

Top 8 peaks for 2θ = 10–90°, in order of falling intensity:
35.5°, I 100; 42.8°, I 28; 14.3°, I 25; 11.5°, I 20; 28.8°, I 17; 46.4°, I 17; 43.9°, I 17; 37.6°, I 17

```
Tb3Ga8Ir3
1.0
-2.1108 4.9221 6.1868
2.1108 -4.9221 6.1868
2.1108 4.9221 -6.1868
Tb Ga Ir
3 8 3
direct
0.0000 0.0000 0.0000 Tb
0.3290 0.3290 0.0000 Tb
0.6710 0.6710 0.0000 Tb
0.0397 0.6691 0.3706 Ga
0.1604 0.8762 0.2842 Ga
0.2985 0.6691 0.6294 Ga
0.4080 0.1238 0.2842 Ga
0.5920 0.8762 0.7158 Ga
0.7015 0.3309 0.3706 Ga
0.8396 0.1238 0.7158 Ga
0.9603 0.3309 0.6294 Ga
0.2799 0.5000 0.7799 Ir
0.5000 0.0000 0.5000 Ir
0.7201 0.5000 0.2201 Ir
```